Starting from DFT lattice parameters and positions (GGA+U), the X-ray powder pattern of Li2MgMn3O8 was calculated for Cu Kα X-rays.

Crystal structure
```
data_Li2MgMn3O8
_symmetry_space_group_name_H-M 'R -3 m'
_symmetry_Int_Tables_number 166
_symmetry_space_group_name_Hall '-R 3 2"'
_cell_length_a 5.8421
_cell_length_b 5.8421
_cell_length_c 14.7114
_cell_angle_alpha 90.00
_cell_angle_beta 90.00
_cell_angle_gamma 120.00
loop_
_atom_site_label
_atom_site_fract_x
_atom_site_fract_y
_atom_site_fract_z
Li1 0.0000 0.0000 0.1148
Mg1 0.0000 0.0000 0.5000
Mn1 0.0000 0.5000 0.0000
O1 0.0000 0.0000 0.2631
O2 0.0303 0.5152 0.2613
```

Most intense lines, 10° ≤ 2θ ≤ 90°, low angle first:
hkl	d/Å	I_rel
0 0 3	4.904	1000
1 0 1	4.784	774
0 1 5	2.543	122
1 1 3	2.510	266
0 2 1	2.493	348
0 2 4	2.084	918
0 2 7	1.617	169
2 0 8	1.487	267
2 2 0	1.461	272
2 2 3	1.400	122